No. 1
Computed powder diffraction line list
Compound: Tl3IBr2
Radiation: CuKα
Structure: a cell relaxed with PBE
Peak positions follow from Bragg's law for the DFT cell and can differ from measured ones.

Peak list (6 most intense, 15 to 90 degrees two-theta, by angle)
- 3.966 Å, 22.42°, I 33
- 3.444 Å, 25.87°, I 52
- 3.430 Å, 25.98°, I 100
- 2.430 Å, 37.00°, I 99
- 1.983 Å, 45.75°, I 43
- 1.535 Å, 60.29°, I 27

Crystal structure
```
Tl3IBr2
1.0
6.8889 0.0000 0.0000
0.0000 14.5633 0.0000
-0.0038 0.0000 9.6937
Tl I Br
12 4 8
direct
0.2495 0.0878 0.3604
0.2495 0.4122 0.8604
0.2497 0.0899 0.8872
0.2497 0.4101 0.3872
0.2508 0.7467 0.8736
0.2508 0.7533 0.3736
0.7492 0.2467 0.6264
0.7492 0.2533 0.1264
0.7503 0.5899 0.6128
0.7503 0.9101 0.1128
0.7505 0.5878 0.1396
0.7505 0.9122 0.6396
0.2505 0.5764 0.1262
0.2505 0.9236 0.6262
0.7495 0.0764 0.3738
0.7495 0.4236 0.8738
0.2491 0.2416 0.6243
0.2491 0.2584 0.1243
0.2501 0.5861 0.6214
0.2501 0.9139 0.1214
0.7499 0.0861 0.8786
0.7499 0.4139 0.3786
0.7509 0.7416 0.8757
0.7509 0.7584 0.3757
```

=====

No. 2
Computed powder diffraction line list
Compound: UTl2I4Br2
Radiation: CuKα
Structure: a cell relaxed with PBE
Peak positions follow from Bragg's law for the DFT cell and can differ from measured ones.

Peak list (6 most intense, 15 to 90 degrees two-theta, by angle)
- 4.204 Å, 21.13°, I 47
- 4.019 Å, 22.12°, I 39
- 3.604 Å, 24.70°, I 70
- 3.394 Å, 26.26°, I 59
- 2.962 Å, 30.18°, I 100
- 2.714 Å, 33.00°, I 33

Crystal structure
```
UTl2I4Br2
1.0
6.8534 -4.2239 0.0000
6.8534 4.2239 0.0000
-4.6161 0.0000 6.9261
U Tl I Br
1 2 4 2
direct
0.0000 0.0000 0.0000
0.2337 0.2337 0.6961
0.7663 0.7663 0.3039
0.1955 0.6935 0.6980
0.3065 0.8045 0.3020
0.6935 0.1955 0.6980
0.8045 0.3065 0.3020
0.2300 0.2300 0.1154
0.7700 0.7700 0.8846
```

=====

No. 3
Computed powder diffraction line list
Compound: V2IBr8
Radiation: CuKα
Structure: a cell relaxed with PBE
Peak positions follow from Bragg's law for the DFT cell and can differ from measured ones.

Peak list (6 most intense, 15 to 90 degrees two-theta, by angle)
- 4.524 Å, 19.62°, I 27
- 3.993 Å, 22.27°, I 32
- 3.352 Å, 26.59°, I 27
- 3.271 Å, 27.27°, I 100
- 3.141 Å, 28.42°, I 33
- 2.853 Å, 31.36°, I 46

Crystal structure
```
V2IBr8
1.0
7.1423 -3.7679 0.0000
7.1423 3.7679 0.0000
-3.4925 0.0000 8.7048
V I Br
2 1 8
direct
0.2065 0.2065 0.1925
0.7935 0.7935 0.8075
0.0000 0.0000 0.5000
0.0952 0.6202 0.7240
0.1533 0.1533 0.9306
0.3780 0.3780 0.3057
0.3798 0.9048 0.2760
0.6202 0.0952 0.7240
0.6220 0.6220 0.6943
0.8467 0.8467 0.0694
0.9048 0.3798 0.2760
```